This entry pairs a crystal structure of PuGaCo2O8 with its calculated powder XRD pattern. Radiation: Cu Ka. Structure: a cell relaxed with PBE+U.

Top 10 peaks for 10° ≤ 2θ ≤ 80°, by angle:
d (Å)	2θ/deg	intensity
4.695	18.90	72
4.591	19.33	28
3.247	27.47	96
2.731	32.79	100
2.670	33.56	24
2.296	39.24	20
2.139	42.25	17
1.757	52.04	68
1.505	61.61	19
1.395	67.07	18

```
data_PuGaCo2O8
_chemical_formula_sum 'Pu1 Ga1 Co2 O8'
_symmetry_space_group_name_H-M 'P 1'
_symmetry_Int_Tables_number 1
_cell_length_a 5.7121
_cell_length_b 5.7121
_cell_length_c 5.7121
_cell_angle_alpha 110.73
_cell_angle_beta 110.73
_cell_angle_gamma 106.99
loop_
_symmetry_equiv_pos_as_xyz
'x,y,z'
loop_
_atom_site_label
_atom_site_type_symbol
_atom_site_fract_x
_atom_site_fract_y
_atom_site_fract_z
_atom_site_occupancy
Pu1 Pu 0.0000 0.0000 0.0000 1
Ga1 Ga 0.7500 0.2500 0.5000 1
Co1 Co 0.2500 0.7500 0.5000 1
Co2 Co 0.5000 0.5000 0.0000 1
O1 O 0.0470 0.3441 0.2970 1
O2 O 0.0470 0.7500 0.7030 1
O3 O 0.1136 0.3166 0.7969 1
O4 O 0.2500 0.9530 0.2970 1
O5 O 0.5197 0.3166 0.2031 1
O6 O 0.6559 0.9530 0.7030 1
O7 O 0.6834 0.4803 0.7969 1
O8 O 0.6834 0.8864 0.2031 1
```